(1)
Calculated powder XRD pattern of AcCrH3O6 for copper Kα, from a cell relaxed with PBE+U.
Lines closer than 0.1° are merged.

Atomic structure:
Unit cell a=5.9714 b=5.9714 c=12.9097 alpha=90.00 beta=90.00 gamma=120.00
Space group R3 (No. 146, hexagonal axes)
Unique sites:
Ac 0.0000 0.0000 0.0000 (multiplicity 3)
Cr 0.0000 0.0000 0.7424 (multiplicity 3)
H 0.1890 0.8007 0.2411 (multiplicity 9)
O 0.0497 0.4627 0.4691 (multiplicity 9)
O 0.1007 0.7083 0.3042 (multiplicity 9)

Main lines, by angle (15 to 90 degrees two-theta):
- 2θ = 18.48°, intensity 1000, hkl 1 0 1
- 2θ = 20.64°, intensity 271, hkl 0 0 3
- 2θ = 22.02°, intensity 247, hkl 0 1 2
- 2θ = 29.93°, intensity 345, hkl 1 1 0
- 2θ = 32.71°, intensity 309, hkl 1 0 4
- 2θ = 35.40°, intensity 180, hkl 0 2 1
- 2θ = 36.63°, intensity 406, hkl 2 -1 3
- 2θ = 37.47°, intensity 165, hkl 2 0 2
- 2θ = 44.92°, intensity 201, hkl 0 2 4
- 2θ = 47.02°, intensity 195, hkl 3 -1 1

(2)
Calculated powder XRD pattern of AcCrHgO4 for copper Kα, from a cell relaxed with PBE+U.
Lines closer than 0.1° are merged.

Atomic structure:
Unit cell a=12.0810 b=6.8204 c=7.1906 alpha=90.00 beta=98.64 gamma=90.00
Space group C2/m (No. 12)
Unique sites:
Ac 0.2112 0.0000 0.3361 (multiplicity 4)
Cr 0.1346 0.0000 0.7719 (multiplicity 4)
Hg 0.0336 0.5000 0.2348 (multiplicity 4)
O 0.0059 0.0000 0.2424 (multiplicity 4)
O 0.1772 0.1946 0.6330 (multiplicity 8)
O 0.2121 0.0000 0.9864 (multiplicity 4)

Main lines, by angle (15 to 90 degrees two-theta):
- 2θ = 17.91°, intensity 356, hkl 2 0 -1
- 2θ = 25.05°, intensity 478, hkl 0 0 2
- 2θ = 25.91°, intensity 894, hkl 3 1 0
- 2θ = 26.13°, intensity 792, hkl 0 2 0
- 2θ = 27.31°, intensity 329, hkl 3 1 -1
- 2θ = 30.29°, intensity 1000, hkl 3 1 1
- 2θ = 33.84°, intensity 450, hkl 3 1 -2
- 2θ = 36.51°, intensity 350, hkl 0 2 2
- 2θ = 48.77°, intensity 293, hkl 1 3 2
- 2θ = 53.16°, intensity 215, hkl 6 2 -1

(3)
Calculated powder XRD pattern of AcCrInO6 for copper Kα, from a cell relaxed with PBE+U.
Lines closer than 0.1° are merged.

Atomic structure:
Unit cell a=5.3775 b=5.3775 c=5.2095 alpha=90.00 beta=90.00 gamma=120.00
Space group P312 (No. 149)
Unique sites:
Ac 0.0000 0.0000 0.0000 (multiplicity 1)
Cr 0.6667 0.3333 0.5000 (multiplicity 1)
In 0.3333 0.6667 0.5000 (multiplicity 1)
O 0.3973 0.0417 0.7086 (multiplicity 6)

Main lines, by angle (15 to 90 degrees two-theta):
- 2θ = 19.06°, intensity 149, hkl 1 0 0
- 2θ = 25.66°, intensity 1000, hkl 1 0 1
- 2θ = 33.32°, intensity 314, hkl 1 1 0
- 2θ = 42.53°, intensity 247, hkl 2 0 1
- 2θ = 48.67°, intensity 324, hkl 2 -1 2
- 2θ = 55.07°, intensity 245, hkl 3 -1 1
- 2θ = 56.56°, intensity 107, hkl 1 0 3
- 2θ = 59.55°, intensity 96, hkl 3 0 0
- 2θ = 75.89°, intensity 108, hkl 3 1 1
- 2θ = 77.16°, intensity 91, hkl 2 1 3